Computed powder diffractogram
Compound: ZnCdAs
Radiation: Cu Ka
Structure: the PBE geometry in Alexandria

Cell and atoms:
a b c (Å): 4.1489 4.1489 4.2820
angles (deg): 90.00 90.00 120.00
Space group P3m1 (No. 156)
Unique sites:
Zn (0.0000, 0.0000, 0.0000) [1 per cell]
Cd (0.3333, 0.6667, 0.4089) [1 per cell]
As (0.6667, 0.3333, 0.8196) [1 per cell]

Principal peaks in the range 10 to 90 degrees two-theta, by angle:
(hkl), 2theta, intensity
1 0 0, 24.8, 4.6
0 1 1, 32.5, 100.0
0 0 2, 42.2, 7.0
1 1 0, 43.6, 41.7
1 0 2, 49.6, 16.8
2 0 1, 55.5, 20.9
1 1 2, 62.3, 12.6
0 2 2, 68.1, 6.2
0 1 3, 71.1, 7.3
1 2 1, 73.1, 17.8
3 0 0, 80.1, 6.6
2 1 2, 84.5, 6.9